(1)
Starting from a GGA-PBE-relaxed structure, the powder X-ray diffraction pattern of Rb5Na3 was computed for CuKα.

The 10 most intense peaks (2θ = 10–80°), by intensity:
| d/Å | Rel. int. | hkl |
| --- | --- | --- |
| 3.859 | 100 | 2 1 3 |
| 3.352 | 42 | 3 1 0 |
| 3.631 | 36 | 2 0 4 |
| 4.612 | 27 | 2 1 1 |
| 2.398 | 21 | 4 1 3 |
| 2.233 | 20 | 3 3 4 |
| 4.150 | 18 | 1 1 4 |
| 2.441 | 17 | 2 1 7 |
| 2.360 | 17 | 3 1 6 |
| 3.323 | 17 | 0 0 6 |

Structure:
Lattice parameters (Å, degrees): 10.600 10.600 19.937 90.00 90.00 90.00
Space group P4/ncc (No. 130, origin choice 2)
Asymmetric unit:
Rb  0.080  0.585  0.100 x16
Rb  0.250  0.250  0.247 x4
Na  0.129  0.629  0.750 x8
Na  0.250  0.250  0.004 x4

(2)
Starting from a GGA-PBE-relaxed structure, the powder X-ray diffraction pattern of Rb5Na2 was computed for CuKα.

The 10 most intense peaks (2θ = 10–80°), by intensity:
| d/Å | Rel. int. | hkl |
| --- | --- | --- |
| 3.601 | 100 | 1 0 -3 |
| 3.730 | 82 | 0 2 2 |
| 3.558 | 57 | -2 2 1 |
| 4.698 | 43 | 1 1 1 |
| 3.833 | 42 | 2 -1 1 |
| 3.756 | 38 | 1 2 -1 |
| 3.791 | 24 | 1 2 0 |
| 4.303 | 23 | 0 2 -2 |
| 4.925 | 23 | 0 1 2 |
| 2.010 | 22 | 0 1 -6 |

Structure:
Lattice parameters (Å, degrees): 8.094 11.511 12.076 97.65 90.22 110.17
Space group P-1 (No. 2)
Asymmetric unit:
Rb  0.065  0.288  0.064 x2
Rb  0.148  0.059  0.677 x2
Rb  0.277  0.712  0.436 x2
Rb  0.292  0.500  0.750 x2
Rb  0.411  0.059  0.177 x2
Na  0.234  0.323  0.414 x2
Na  0.411  0.678  0.086 x2

What did the first record say?
Starting from a GGA-PBE-relaxed structure, the powder X-ray diffraction pattern of Rb5Na3 was computed for CuKα.

The 10 most intense peaks (2θ = 10–80°), by intensity:
| d/Å | Rel. int. | hkl |
| --- | --- | --- |
| 3.859 | 100 | 2 1 3 |
| 3.352 | 42 | 3 1 0 |
| 3.631 | 36 | 2 0 4 |
| 4.612 | 27 | 2 1 1 |
| 2.398 | 21 | 4 1 3 |
| 2.233 | 20 | 3 3 4 |
| 4.150 | 18 | 1 1 4 |
| 2.441 | 17 | 2 1 7 |
| 2.360 | 17 | 3 1 6 |
| 3.323 | 17 | 0 0 6 |

Structure:
Lattice parameters (Å, degrees): 10.600 10.600 19.937 90.00 90.00 90.00
Space group P4/ncc (No. 130, origin choice 2)
Asymmetric unit:
Rb  0.080  0.585  0.100 x16
Rb  0.250  0.250  0.247 x4
Na  0.129  0.629  0.750 x8
Na  0.250  0.250  0.004 x4